No. 1
Te2Se3Br: computed powder XRD pattern (Cu Kα X-rays), based on a PBE-relaxed structure.

Cell and atoms:
Lattice parameters (Å, degrees): 4.070 8.626 12.167 96.43 92.16 94.50
Space group P-1 (No. 2)
Inequivalent atoms, fractional coordinates:
1 Te 0.153 0.330 0.409 [2 per cell]
2 Te 0.237 0.928 0.863 [2 per cell]
3 Se 0.242 0.843 0.072 [2 per cell]
4 Se 0.245 0.620 0.404 [2 per cell]
5 Se 0.327 0.302 0.186 [2 per cell]
6 Br 0.248 0.013 0.646 [2 per cell]

Peak list (6 most intense, 10° ≤ 2θ ≤ 90°, by intensity)
h k l	2theta	I_rel
0 1 -1	11.98	100.0
1 1 1	26.80	29.5
1 2 1	33.35	25.4
0 0 4	29.59	24.9
-1 1 1	24.70	21.7
0 3 0	31.43	19.6

No. 2
TiSe2Br5: computed powder XRD pattern (Cu Kα X-rays), based on a PBE-relaxed structure.

Cell and atoms:
Lattice parameters (Å, degrees): 6.732 6.833 9.663 72.28 84.62 62.37
Space group P1 (No. 1)
Inequivalent atoms, fractional coordinates:
1 Ti 0.000 0.000 0.000 [1 per cell]
2 Se 0.577 0.804 0.560 [1 per cell]
3 Se 0.810 0.549 0.450 [1 per cell]
4 Br 0.178 0.824 0.233 [1 per cell]
5 Br 0.226 0.127 0.837 [1 per cell]
6 Br 0.652 0.312 0.006 [1 per cell]
7 Br 0.717 0.230 0.494 [1 per cell]
8 Br 0.944 0.734 0.926 [1 per cell]

Peak list (6 most intense, 10° ≤ 2θ ≤ 90°, by intensity)
h k l	2theta	I_rel
1 0 2	25.14	100.0
0 0 2	19.32	65.5
1 1 -1	20.33	64.9
1 2 -1	31.79	49.9
1 2 2	28.43	45.2
2 1 1	27.38	44.3

No. 3
TlSeBr: computed powder XRD pattern (Cu Kα X-rays), based on a PBE-relaxed structure.

Cell and atoms:
Lattice parameters (Å, degrees): 5.027 4.172 10.747 90.00 101.38 90.00
Space group P2_1/m (No. 11)
Inequivalent atoms, fractional coordinates:
1 Tl 0.176 0.250 0.329 [2 per cell]
2 Se 0.461 0.750 0.941 [2 per cell]
3 Br 0.307 0.250 0.630 [2 per cell]

Peak list (6 most intense, 10° ≤ 2θ ≤ 90°, by intensity)
h k l	2theta	I_rel
0 0 3	25.36	100.0
1 1 0	28.02	97.4
1 1 -1	28.22	91.5
1 1 -3	35.56	77.0
1 1 2	34.73	74.5
0 1 4	40.53	60.8